Record 1
Structure and calculated XRD peak list of Ba2TiVS6 (a structure optimized by DFT (GGA-PBE); λ = 1.5418 Å (Cu Kα)).

Structural model:
Cell lengths 6.8116, 6.8116, 5.6644 Å; angles 90.00, 90.00, 120.00 degrees
Space group P-3m1 (No. 164)
Unique sites:
Ba (0.3333, 0.6667, 0.2521) (multiplicity 2)
Ti (0.0000, 0.0000, 0.0000) (multiplicity 1)
V (0.0000, 0.0000, 0.5000) (multiplicity 1)
S (0.1650, 0.3300, 0.7428) (multiplicity 6)

Main lines, in order of falling intensity (10 to 90 degrees two-theta):
34.28°, 2.616 Å, intensity 100.0
21.75°, 4.086 Å, intensity 56.1
26.17°, 3.406 Å, intensity 54.8
44.34°, 2.043 Å, intensity 31.4
53.84°, 1.703 Å, intensity 24.8
35.15°, 2.553 Å, intensity 22.0
58.00°, 1.590 Å, intensity 20.2
43.63°, 2.075 Å, intensity 18.3

---

Record 2
Structure and calculated XRD peak list of MoWSeS3 (a structure optimized by DFT (GGA-PBE); λ = 1.5418 Å (Cu Kα)).

Structural model:
Cell lengths 3.2225, 3.2225, 36.3893 Å; angles 90.00, 90.00, 120.00 degrees
Space group P3m1 (No. 156)
Unique sites:
Mo (0.0000, 0.0000, 0.0000) (multiplicity 1)
Mo (0.0000, 0.0000, 0.3758) (multiplicity 1)
W (0.3333, 0.6667, 0.1879) (multiplicity 1)
W (0.3333, 0.6667, 0.5636) (multiplicity 1)
Se (0.0000, 0.0000, 0.1406) (multiplicity 1)
Se (0.0000, 0.0000, 0.2352) (multiplicity 1)
S (0.0000, 0.0000, 0.5208) (multiplicity 1)
S (0.0000, 0.0000, 0.6065) (multiplicity 1)
S (0.3333, 0.6667, 0.0427) (multiplicity 1)
S (0.3333, 0.6667, 0.3331) (multiplicity 1)
S (0.3333, 0.6667, 0.4185) (multiplicity 1)
S (0.3333, 0.6667, 0.9573) (multiplicity 1)

Main lines, in order of falling intensity (10 to 90 degrees two-theta):
12.16°, 7.278 Å, intensity 100.0
37.82°, 2.379 Å, intensity 55.0
45.92°, 1.976 Å, intensity 32.6
14.61°, 6.065 Å, intensity 22.1
32.07°, 2.791 Å, intensity 20.6
57.18°, 1.611 Å, intensity 18.4
34.42°, 2.606 Å, intensity 16.3
32.93°, 2.720 Å, intensity 13.3

---

Record 3
Structure and calculated XRD peak list of SiO2 (a structure optimized by DFT (GGA-PBE); λ = 1.5418 Å (Cu Kα)).

Structural model:
Cell lengths 6.8662, 6.8662, 13.5881 Å; angles 90.00, 90.00, 120.00 degrees
Space group P6_422 (No. 181)
Unique sites:
Si (0.1773, 0.4050, 0.1178) (multiplicity 12)
O (0.0000, 0.1835, 0.8333) (multiplicity 6)
O (0.0000, 0.5000, 0.1370) (multiplicity 6)
O (0.1877, 0.3753, 0.0000) (multiplicity 6)
O (0.2126, 0.6063, 0.8333) (multiplicity 6)

Main lines, in order of falling intensity (10 to 90 degrees two-theta):
16.27°, 5.448 Å, intensity 100.0
26.78°, 3.329 Å, intensity 91.3
19.60°, 4.529 Å, intensity 79.8
30.30°, 2.950 Å, intensity 24.7
19.84°, 4.475 Å, intensity 17.4
30.78°, 2.904 Å, intensity 14.1
42.36°, 2.134 Å, intensity 13.1
49.39°, 1.845 Å, intensity 9.3

---

Record 4
Structure and calculated XRD peak list of FeCu2SnS4 (a structure optimized by DFT (GGA-PBE); λ = 1.5418 Å (Cu Kα)).

Structural model:
Cell lengths 5.468, 5.468, 10.717 Å; angles 90.00, 90.00, 90.00 degrees
Space group I-42m (No. 121)
Unique sites:
Fe (0.000, 0.000, 0.000) (multiplicity 2)
Cu (0.000, 0.500, 0.250) (multiplicity 4)
Sn (0.000, 0.000, 0.500) (multiplicity 2)
S (0.233, 0.233, 0.868) (multiplicity 8)

Main lines, in order of falling intensity (10 to 90 degrees two-theta):
28.47°, 3.136 Å, intensity 100.0
47.51°, 1.914 Å, intensity 38.6
55.87°, 1.646 Å, intensity 28.0
47.00°, 1.933 Å, intensity 19.9
56.77°, 1.622 Å, intensity 13.5
87.74°, 1.112 Å, intensity 12.3
76.70°, 1.242 Å, intensity 11.3
32.75°, 2.734 Å, intensity 10.3

---

Record 5
Structure and calculated XRD peak list of Mg7Si4 (a structure optimized by DFT (GGA-PBE); λ = 1.5418 Å (Cu Kα)).

Structural model:
Cell lengths 4.510, 6.188, 15.495 Å; angles 93.37, 91.72, 90.05 degrees
Space group P1 (No. 1)
Unique sites:
Mg (0.000, 0.000, 0.000) (multiplicity 1)
Mg (0.002, 0.480, 0.067) (multiplicity 1)
Mg (0.434, 0.943, 0.335) (multiplicity 1)
Mg (0.437, 0.436, 0.425) (multiplicity 1)
Mg (0.459, 0.768, 0.581) (multiplicity 1)
Mg (0.460, 0.223, 0.602) (multiplicity 1)
Mg (0.470, 0.553, 0.752) (multiplicity 1)
Mg (0.478, 0.052, 0.804) (multiplicity 1)
Mg (0.491, 0.692, 0.943) (multiplicity 1)
Mg (0.518, 0.924, 0.126) (multiplicity 1)
Mg (0.520, 0.433, 0.216) (multiplicity 1)
Mg (0.948, 0.998, 0.484) (multiplicity 1)
Mg (0.953, 0.492, 0.560) (multiplicity 1)
Mg (0.986, 0.354, 0.876) (multiplicity 1)
Si (0.021, 0.742, 0.210) (multiplicity 1)
Si (0.029, 0.137, 0.195) (multiplicity 1)
Si (0.497, 0.264, 0.979) (multiplicity 1)
Si (0.929, 0.255, 0.346) (multiplicity 1)
Si (0.929, 0.653, 0.359) (multiplicity 1)
Si (0.965, 0.245, 0.705) (multiplicity 1)
Si (0.972, 0.855, 0.686) (multiplicity 1)
Si (0.981, 0.772, 0.840) (multiplicity 1)

Main lines, in order of falling intensity (10 to 90 degrees two-theta):
39.99°, 2.254 Å, intensity 100.0
37.95°, 2.371 Å, intensity 48.1
36.75°, 2.446 Å, intensity 46.8
34.85°, 2.574 Å, intensity 35.6
39.76°, 2.267 Å, intensity 35.1
33.98°, 2.639 Å, intensity 33.8
36.44°, 2.466 Å, intensity 32.0
32.80°, 2.730 Å, intensity 31.0

---

Copy entry 2 word for word.
Structure and calculated XRD peak list of MoWSeS3 (a structure optimized by DFT (GGA-PBE); λ = 1.5418 Å (Cu Kα)).

Structural model:
Cell lengths 3.2225, 3.2225, 36.3893 Å; angles 90.00, 90.00, 120.00 degrees
Space group P3m1 (No. 156)
Unique sites:
Mo (0.0000, 0.0000, 0.0000) (multiplicity 1)
Mo (0.0000, 0.0000, 0.3758) (multiplicity 1)
W (0.3333, 0.6667, 0.1879) (multiplicity 1)
W (0.3333, 0.6667, 0.5636) (multiplicity 1)
Se (0.0000, 0.0000, 0.1406) (multiplicity 1)
Se (0.0000, 0.0000, 0.2352) (multiplicity 1)
S (0.0000, 0.0000, 0.5208) (multiplicity 1)
S (0.0000, 0.0000, 0.6065) (multiplicity 1)
S (0.3333, 0.6667, 0.0427) (multiplicity 1)
S (0.3333, 0.6667, 0.3331) (multiplicity 1)
S (0.3333, 0.6667, 0.4185) (multiplicity 1)
S (0.3333, 0.6667, 0.9573) (multiplicity 1)

Main lines, in order of falling intensity (10 to 90 degrees two-theta):
12.16°, 7.278 Å, intensity 100.0
37.82°, 2.379 Å, intensity 55.0
45.92°, 1.976 Å, intensity 32.6
14.61°, 6.065 Å, intensity 22.1
32.07°, 2.791 Å, intensity 20.6
57.18°, 1.611 Å, intensity 18.4
34.42°, 2.606 Å, intensity 16.3
32.93°, 2.720 Å, intensity 13.3